Record 1
This entry pairs a crystal structure of GePb2S4 with its computed powder XRD pattern. Radiation: Cu Kα X-rays. Structure: a structure optimized by DFT (PBE).
Kinematic intensities with the Lorentz-polarization factor, no thermal factor.

Most intense lines, 10° ≤ 2θ ≤ 90°, in order of rising 2θ:
d = 3.888 Å, I = 27.8
d = 3.838 Å, I = 88.2
d = 3.667 Å, I = 56.7
d = 3.584 Å, I = 69.8
d = 3.085 Å, I = 100.0
d = 3.069 Å, I = 26.2
d = 2.563 Å, I = 88.0
d = 2.534 Å, I = 27.4
d = 2.115 Å, I = 26.5
d = 1.824 Å, I = 30.5

a b c (Å): 12.512 12.512 12.512
angles (deg): 110.10 110.10 108.23
Fractional coordinates of all 56 atoms:
Ge: 0.071 0.371 0.252
Ge: 0.119 0.819 0.748
Ge: 0.121 0.321 0.752
Ge: 0.181 0.929 0.300
Ge: 0.569 0.369 0.248
Ge: 0.629 0.881 0.700
Ge: 0.631 0.879 0.200
Ge: 0.679 0.431 0.800
Pb: 0.040 0.125 0.415
Pb: 0.105 0.625 0.980
Pb: 0.144 0.144 0.000
Pb: 0.355 0.125 0.730
Pb: 0.375 0.355 0.480
Pb: 0.375 0.645 0.770
Pb: 0.375 0.960 0.085
Pb: 0.395 0.625 0.270
Pb: 0.606 0.106 0.500
Pb: 0.645 0.125 0.020
Pb: 0.710 0.625 0.585
Pb: 0.856 0.856 0.000
Pb: 0.875 0.290 0.915
Pb: 0.875 0.605 0.230
Pb: 0.875 0.895 0.520
Pb: 0.894 0.394 0.500
S: 0.054 0.521 0.199
S: 0.085 0.818 0.914
S: 0.101 0.400 0.449
S: 0.125 0.002 0.749
S: 0.126 0.503 0.751
S: 0.145 0.946 0.467
S: 0.150 0.351 0.949
S: 0.182 0.095 0.267
S: 0.253 0.376 0.251
S: 0.271 0.304 0.699
S: 0.322 0.855 0.801
S: 0.347 0.899 0.299
S: 0.403 0.202 0.051
S: 0.428 0.729 0.033
S: 0.479 0.678 0.533
S: 0.497 0.248 0.623
S: 0.568 0.335 0.414
S: 0.600 0.048 0.701
S: 0.605 0.572 0.301
S: 0.624 0.875 0.877
S: 0.625 0.874 0.377
S: 0.649 0.597 0.799
S: 0.665 0.078 0.233
S: 0.696 0.395 0.967
S: 0.752 0.375 0.249
S: 0.798 0.850 0.201
S: 0.828 0.915 0.733
S: 0.845 0.432 0.767
S: 0.905 0.172 0.086
S: 0.922 0.155 0.586
S: 0.952 0.653 0.551
S: 0.998 0.747 0.123



Record 2
This entry pairs a crystal structure of ZnIn2S4 with its computed powder XRD pattern. Radiation: Cu Kα X-rays. Structure: a structure optimized by DFT (PBE).
Kinematic intensities with the Lorentz-polarization factor, no thermal factor.

Most intense lines, 10° ≤ 2θ ≤ 90°, in order of rising 2θ:
d = 4.218 Å, I = 100.0
d = 3.369 Å, I = 60.3
d = 3.283 Å, I = 63.4
d = 3.153 Å, I = 85.3
d = 2.822 Å, I = 45.8
d = 2.316 Å, I = 42.5
d = 2.167 Å, I = 41.7
d = 1.962 Å, I = 74.8
d = 1.905 Å, I = 28.9
d = 1.779 Å, I = 53.1

a b c (Å): 3.925 3.925 25.310
angles (deg): 90.00 90.00 120.00
Fractional coordinates of all 14 atoms:
Zn: 0.000 0.000 0.000
Zn: 0.000 0.000 0.500
In: 0.333 0.667 0.185
In: 0.333 0.667 0.844
In: 0.667 0.333 0.344
In: 0.667 0.333 0.685
S: 0.000 0.000 0.143
S: 0.000 0.000 0.393
S: 0.000 0.000 0.643
S: 0.000 0.000 0.893
S: 0.333 0.667 0.020
S: 0.333 0.667 0.282
S: 0.667 0.333 0.520
S: 0.667 0.333 0.782



Record 3
This entry pairs a crystal structure of RbMgBr3O6 with its computed powder XRD pattern. Radiation: Cu Kα X-rays. Structure: a structure optimized by DFT (PBE).
Kinematic intensities with the Lorentz-polarization factor, no thermal factor.

Most intense lines, 10° ≤ 2θ ≤ 90°, in order of rising 2θ:
d = 5.822 Å, I = 65.6
d = 4.744 Å, I = 83.1
d = 4.311 Å, I = 60.0
d = 3.546 Å, I = 100.0
d = 3.375 Å, I = 91.7
d = 3.092 Å, I = 63.0
d = 3.005 Å, I = 53.2
d = 2.911 Å, I = 77.3
d = 2.771 Å, I = 64.7
d = 2.743 Å, I = 53.6

a b c (Å): 6.760 6.760 13.540
angles (deg): 92.50 92.50 111.97
Fractional coordinates of all 22 atoms:
Rb: 0.185 0.815 0.750
Rb: 0.815 0.185 0.250
Mg: 0.000 0.500 0.000
Mg: 0.500 0.000 0.500
Br: 0.000 0.500 0.500
Br: 0.184 0.323 0.792
Br: 0.323 0.184 0.292
Br: 0.500 0.000 0.000
Br: 0.677 0.816 0.708
Br: 0.816 0.677 0.208
O: 0.021 0.444 0.854
O: 0.207 0.779 0.511
O: 0.221 0.793 0.989
O: 0.420 0.444 0.021
O: 0.444 0.021 0.354
O: 0.444 0.420 0.521
O: 0.556 0.580 0.479
O: 0.556 0.979 0.646
O: 0.580 0.556 0.979
O: 0.779 0.207 0.011
O: 0.793 0.221 0.489
O: 0.979 0.556 0.146



Record 4
This entry pairs a crystal structure of Cs3Ag2Sb3S8 with its computed powder XRD pattern. Radiation: Cu Kα X-rays. Structure: a structure optimized by DFT (PBE).
Kinematic intensities with the Lorentz-polarization factor, no thermal factor.

Most intense lines, 10° ≤ 2θ ≤ 90°, in order of rising 2θ:
d = 4.130 Å, I = 61.8
d = 3.900 Å, I = 88.7
d = 3.697 Å, I = 60.5
d = 3.667 Å, I = 96.0
d = 3.527 Å, I = 73.1
d = 3.242 Å, I = 72.5
d = 3.035 Å, I = 58.9
d = 2.868 Å, I = 100.0
d = 2.034 Å, I = 49.3
d = 1.869 Å, I = 45.4

a b c (Å): 10.847 7.396 13.008
angles (deg): 90.00 102.72 90.00
Fractional coordinates of all 32 atoms:
Cs: 0.042 0.250 0.158
Cs: 0.082 0.750 0.426
Cs: 0.355 0.250 0.948
Cs: 0.645 0.750 0.052
Cs: 0.918 0.250 0.574
Cs: 0.958 0.750 0.842
Ag: 0.373 0.028 0.398
Ag: 0.373 0.472 0.398
Ag: 0.627 0.528 0.602
Ag: 0.627 0.972 0.602
Sb: 0.271 0.750 0.127
Sb: 0.324 0.250 0.615
Sb: 0.368 0.750 0.709
Sb: 0.632 0.250 0.291
Sb: 0.676 0.750 0.385
Sb: 0.729 0.250 0.873
S: 0.057 0.750 0.140
S: 0.198 0.250 0.437
S: 0.205 0.001 0.685
S: 0.205 0.499 0.685
S: 0.296 0.750 0.952
S: 0.375 0.016 0.205
S: 0.375 0.484 0.205
S: 0.411 0.750 0.527
S: 0.589 0.250 0.473
S: 0.625 0.516 0.795
S: 0.625 0.984 0.795
S: 0.704 0.250 0.048
S: 0.795 0.501 0.315
S: 0.795 0.999 0.315
S: 0.802 0.750 0.563
S: 0.943 0.250 0.860



Record 5
This entry pairs a crystal structure of KTe with its computed powder XRD pattern. Radiation: Cu Kα X-rays. Structure: a structure optimized by DFT (PBE).
Kinematic intensities with the Lorentz-polarization factor, no thermal factor.

Most intense lines, 10° ≤ 2θ ≤ 90°, in order of rising 2θ:
d = 4.901 Å, I = 38.5
d = 4.560 Å, I = 96.6
d = 3.850 Å, I = 26.6
d = 3.167 Å, I = 58.3
d = 2.829 Å, I = 100.0
d = 2.627 Å, I = 29.1
d = 2.220 Å, I = 48.0
d = 2.093 Å, I = 19.7
d = 1.746 Å, I = 22.5
d = 1.486 Å, I = 26.1

a b c (Å): 5.659 5.659 12.448
angles (deg): 90.00 90.00 120.00
Fractional coordinates of all 8 atoms:
K: 0.000 0.000 0.000
K: 0.000 0.000 0.500
K: 0.333 0.667 0.250
K: 0.667 0.333 0.750
Te: 0.333 0.667 0.636
Te: 0.333 0.667 0.864
Te: 0.667 0.333 0.136
Te: 0.667 0.333 0.364



Record 6
This entry pairs a crystal structure of SrHfMg6O8 with its computed powder XRD pattern. Radiation: Cu Kα X-rays. Structure: a structure optimized by DFT (PBE).
Kinematic intensities with the Lorentz-polarization factor, no thermal factor.

Most intense lines, 10° ≤ 2θ ≤ 90°, in order of rising 2θ:
d = 4.565 Å, I = 89.6
d = 4.501 Å, I = 43.8
d = 3.228 Å, I = 38.7
d = 3.205 Å, I = 76.7
d = 2.623 Å, I = 80.8
d = 2.282 Å, I = 100.0
d = 2.250 Å, I = 47.2
d = 1.859 Å, I = 33.1
d = 1.614 Å, I = 31.2
d = 1.602 Å, I = 60.2

a b c (Å): 4.565 4.565 9.001
angles (deg): 90.00 90.00 90.00
Fractional coordinates of all 16 atoms:
Sr: 0.000 0.000 0.000
Hf: 0.000 0.000 0.500
Mg: 0.000 0.500 0.250
Mg: 0.000 0.500 0.750
Mg: 0.500 0.000 0.250
Mg: 0.500 0.000 0.750
Mg: 0.500 0.500 0.000
Mg: 0.500 0.500 0.500
O: 0.000 0.000 0.268
O: 0.000 0.000 0.732
O: 0.000 0.500 0.000
O: 0.000 0.500 0.500
O: 0.500 0.000 0.000
O: 0.500 0.000 0.500
O: 0.500 0.500 0.249
O: 0.500 0.500 0.751



Number 5 is which compound?
KTe